Starting from a cell relaxed with PBE, the powder XRD pattern of Mg3HgAu12 was simulated for Cu Kα.
Lines closer than 0.1° are merged.

Structural model:
abc: 4.1926 4.1926 16.4858
angles: 90.00 90.00 90.00
Space group P4/mmm (No. 123)
Inequivalent atoms, fractional coordinates:
Mg1 0.0000 0.0000 0.0000
Mg2 0.0000 0.0000 0.2467
Hg1 0.0000 0.0000 0.5000
Au1 0.0000 0.5000 0.1228
Au2 0.0000 0.5000 0.3676
Au3 0.5000 0.5000 0.0000
Au4 0.5000 0.5000 0.2456
Au5 0.5000 0.5000 0.5000

Peak list (10 most intense, 2θ from 10° to 90°, in order of falling intensity)
2θ = 37.4°, rel. 100, hkl 1 1 4
2θ = 43.2°, rel. 34, hkl 2 0 0
2θ = 75.3°, rel. 27, hkl 3 1 4
2θ = 63.3°, rel. 21, hkl 2 0 8
2θ = 43.9°, rel. 15, hkl 0 0 8
2θ = 76.4°, rel. 12, hkl 1 1 12
2θ = 62.7°, rel. 11, hkl 2 2 0
2θ = 79.7°, rel. 11, hkl 2 2 8
2θ = 21.2°, rel. 8, hkl 1 0 0
2θ = 30.4°, rel. 6, hkl 1 0 4

***

Starting from a cell relaxed with PBE, the powder XRD pattern of Mg6Hg2Au was simulated for Cu Kα.
Lines closer than 0.1° are merged.

Structural model:
abc: 4.8918 4.8918 9.0220
angles: 90.00 90.00 120.00
Space group P-3m1 (No. 164)
Inequivalent atoms, fractional coordinates:
Mg1 0.0000 0.0000 0.1887
Mg2 0.3333 0.6667 0.5884
Mg3 0.3333 0.6667 0.9389
Hg1 0.3333 0.6667 0.2562
Au1 0.0000 0.0000 0.5000

Peak list (10 most intense, 2θ from 10° to 90°, in order of falling intensity)
2θ = 36.7°, rel. 100, hkl 1 1 0
2θ = 23.2°, rel. 71, hkl 1 0 1
2θ = 28.9°, rel. 37, hkl 1 0 2
2θ = 66.1°, rel. 27, hkl 3 0 0
2θ = 55.4°, rel. 24, hkl 1 1 4
2θ = 52.9°, rel. 17, hkl 2 0 3
2θ = 43.9°, rel. 14, hkl 0 2 1
2θ = 58.5°, rel. 12, hkl 2 1 1
2θ = 80.2°, rel. 11, hkl 3 0 4
2θ = 47.4°, rel. 10, hkl 0 2 2

***

Starting from a cell relaxed with PBE, the powder XRD pattern of Mg6HgAu3 was simulated for Cu Kα.
Lines closer than 0.1° are merged.

Structural model:
abc: 8.5553 4.6354 10.0522
angles: 90.00 102.96 90.00
Space group P2_1/m (No. 11)
Inequivalent atoms, fractional coordinates:
Mg1 0.0443 0.2500 0.4093
Mg2 0.1342 0.7500 0.1857
Mg3 0.2312 0.2500 0.9810
Mg4 0.3142 0.7500 0.7833
Mg5 0.3526 0.2500 0.2968
Mg6 0.4159 0.2500 0.5985
Hg1 0.4460 0.7500 0.1053
Au1 0.0259 0.7500 0.8866
Au2 0.1324 0.2500 0.6951
Au3 0.2781 0.7500 0.4667

Peak list (10 most intense, 2θ from 10° to 90°, in order of falling intensity)
2θ = 27.0°, rel. 100, hkl 1 1 -2
2θ = 37.2°, rel. 75, hkl 1 1 3
2θ = 37.1°, rel. 70, hkl 3 1 -1
2θ = 25.0°, rel. 58, hkl 2 0 1
2θ = 38.9°, rel. 37, hkl 0 2 0
2θ = 38.2°, rel. 29, hkl 2 0 -4
2θ = 46.8°, rel. 23, hkl 2 2 1
2θ = 55.6°, rel. 20, hkl 2 2 -4
2θ = 28.8°, rel. 19, hkl 2 1 0
2θ = 21.2°, rel. 17, hkl 0 1 1

***

Starting from a cell relaxed with PBE, the powder XRD pattern of Mg5Hg2PdAu2 was simulated for Cu Kα.
Lines closer than 0.1° are merged.

Structural model:
abc: 11.2391 11.2391 3.2264
angles: 90.00 90.00 90.00
Space group P4/mbm (No. 127)
Inequivalent atoms, fractional coordinates:
Mg1 0.0000 0.5000 0.0000
Mg2 0.0291 0.1953 0.0000
Hg1 0.1743 0.6743 0.5000
Pd1 0.0000 0.0000 0.5000
Au1 0.1390 0.3610 0.5000

Peak list (10 most intense, 2θ from 10° to 90°, in order of falling intensity)
2θ = 37.7°, rel. 100, hkl 3 1 1
2θ = 25.1°, rel. 92, hkl 3 1 0
2θ = 27.6°, rel. 52, hkl 0 0 1
2θ = 33.8°, rel. 49, hkl 3 3 0
2θ = 42.7°, rel. 24, hkl 4 0 1
2θ = 44.2°, rel. 24, hkl 3 3 1
2θ = 48.6°, rel. 22, hkl 6 0 0
2θ = 11.1°, rel. 21, hkl 1 1 0
2θ = 40.2°, rel. 19, hkl 3 2 1
2θ = 56.8°, rel. 19, hkl 6 0 1

***

Starting from a cell relaxed with PBE, the powder XRD pattern of HgMoAu was simulated for Cu Kα.
Lines closer than 0.1° are merged.

Structural model:
abc: 2.8839 2.8839 13.1073
angles: 90.00 90.00 90.00
Space group I4mm (No. 107)
Inequivalent atoms, fractional coordinates:
Hg1 0.0000 0.0000 0.0000
Mo1 0.0000 0.0000 0.6679
Au1 0.0000 0.0000 0.3193

Peak list (10 most intense, 2θ from 10° to 90°, in order of falling intensity)
2θ = 37.4°, rel. 100, hkl 1 0 3
2θ = 44.4°, rel. 31, hkl 1 1 0
2θ = 77.1°, rel. 25, hkl 2 1 3
2θ = 62.3°, rel. 21, hkl 1 1 6
2θ = 41.3°, rel. 18, hkl 0 0 6
2θ = 72.7°, rel. 13, hkl 1 0 9
2θ = 79.7°, rel. 11, hkl 2 0 6
2θ = 64.6°, rel. 10, hkl 2 0 0
2θ = 31.8°, rel. 9, hkl 1 0 1
2θ = 27.2°, rel. 6, hkl 0 0 4

***

Starting from a cell relaxed with PBE, the powder XRD pattern of HgTeMoAu was simulated for Cu Kα.
Lines closer than 0.1° are merged.

Structural model:
abc: 4.4976 4.4975 8.8923
angles: 90.00 91.08 90.00
Space group Cm (No. 8)
Inequivalent atoms, fractional coordinates:
Hg1 0.0000 0.0000 0.0000
Te1 0.0174 0.5000 0.6286
Mo1 0.0106 0.0000 0.4435
Au1 0.0036 0.5000 0.2380

Peak list (10 most intense, 2θ from 10° to 90°, in order of falling intensity)
2θ = 34.9°, rel. 100, hkl 1 1 2
2θ = 34.5°, rel. 94, hkl 1 1 -2
2θ = 40.1°, rel. 91, hkl 0 2 0
2θ = 41.4°, rel. 38, hkl 1 1 -3
2θ = 58.0°, rel. 31, hkl 2 2 0
2θ = 41.9°, rel. 27, hkl 1 1 3
2θ = 29.7°, rel. 21, hkl 1 1 -1
2θ = 51.4°, rel. 21, hkl 0 0 5
2θ = 30.2°, rel. 19, hkl 0 0 3
2θ = 67.1°, rel. 19, hkl 0 2 5

***

Starting from a cell relaxed with PBE, the powder XRD pattern of ZrHgMo2Au was simulated for Cu Kα.
Lines closer than 0.1° are merged.

Structural model:
abc: 4.8955 4.8955 5.0942
angles: 90.00 90.00 90.00
Space group P4/mmm (No. 123)
Inequivalent atoms, fractional coordinates:
Zr1 0.0000 0.0000 0.0000
Hg1 0.5000 0.5000 0.0000
Mo1 0.0000 0.5000 0.5000
Au1 0.0000 0.0000 0.5000

Peak list (10 most intense, 2θ from 10° to 90°, in order of falling intensity)
2θ = 25.2°, rel. 100, hkl 1 0 1
2θ = 36.7°, rel. 99, hkl 2 0 0
2θ = 51.8°, rel. 73, hkl 2 0 2
2θ = 35.2°, rel. 55, hkl 0 0 2
2θ = 31.2°, rel. 55, hkl 1 1 1
2θ = 45.1°, rel. 45, hkl 2 1 1
2θ = 25.7°, rel. 45, hkl 1 1 0
2θ = 65.2°, rel. 37, hkl 2 2 2
2θ = 52.9°, rel. 34, hkl 2 2 0
2θ = 44.1°, rel. 22, hkl 1 1 2

***

Starting from a cell relaxed with PBE, the powder XRD pattern of Na3Hg4Au4 was simulated for Cu Kα.
Lines closer than 0.1° are merged.

Structural model:
abc: 4.4773 7.4972 16.1222
angles: 90.00 90.00 90.00
Space group Immm (No. 71)
Inequivalent atoms, fractional coordinates:
Na1 0.0000 0.0000 0.0000
Na2 0.0000 0.5000 0.1346
Hg1 0.0000 0.0000 0.2295
Hg2 0.0000 0.1950 0.5000
Au1 0.0000 0.3081 0.3378

Peak list (10 most intense, 2θ from 10° to 90°, in order of falling intensity)
2θ = 20.6°, rel. 100, hkl 1 0 1
2θ = 31.6°, rel. 75, hkl 1 2 1
2θ = 32.2°, rel. 72, hkl 1 1 4
2θ = 42.9°, rel. 65, hkl 1 3 2
2θ = 41.4°, rel. 64, hkl 0 2 6
2θ = 20.3°, rel. 52, hkl 0 1 3
2θ = 40.3°, rel. 52, hkl 2 0 0
2θ = 11.0°, rel. 42, hkl 0 0 2
2θ = 42.1°, rel. 40, hkl 1 2 5
2θ = 44.2°, rel. 39, hkl 1 0 7

***

Starting from a cell relaxed with PBE, the powder XRD pattern of Na8Hg3Au2 was simulated for Cu Kα.
Lines closer than 0.1° are merged.

Structural model:
abc: 8.9014 15.1929 5.3754
angles: 90.00 90.00 90.00
Space group Cmmm (No. 65)
Inequivalent atoms, fractional coordinates:
Na1 0.0000 0.1082 0.0000
Na2 0.0000 0.3112 0.0000
Na3 0.2036 0.3764 0.5000
Hg1 0.0000 0.0000 0.5000
Hg2 0.1707 0.5000 0.0000
Au1 0.0000 0.2110 0.5000

Peak list (10 most intense, 2θ from 10° to 90°, in order of falling intensity)
2θ = 20.2°, rel. 100, hkl 0 2 1
2θ = 35.4°, rel. 62, hkl 1 5 1
2θ = 35.3°, rel. 41, hkl 2 4 1
2θ = 26.0°, rel. 31, hkl 2 0 1
2θ = 30.7°, rel. 30, hkl 3 1 0
2θ = 33.3°, rel. 29, hkl 0 0 2
2θ = 23.4°, rel. 23, hkl 0 4 0
2θ = 46.0°, rel. 22, hkl 3 1 2
2θ = 55.1°, rel. 20, hkl 3 5 2
2θ = 60.9°, rel. 20, hkl 1 5 3

***

Starting from a cell relaxed with PBE, the powder XRD pattern of Na5Hg2Au2 was simulated for Cu Kα.
Lines closer than 0.1° are merged.

Structural model:
abc: 16.3072 7.7147 7.7087
angles: 90.00 90.00 90.00
Space group Cmce (No. 64)
Inequivalent atoms, fractional coordinates:
Na1 0.0000 0.0000 0.0000
Na2 0.1255 0.1725 0.3280
Hg1 0.2178 0.0000 0.0000
Au1 0.0000 0.1276 0.6271

Peak list (10 most intense, 2θ from 10° to 90°, in order of falling intensity)
2θ = 23.1°, rel. 100, hkl 3 1 1
2θ = 21.8°, rel. 49, hkl 4 0 0
2θ = 25.6°, rel. 47, hkl 2 2 0
2θ = 46.5°, rel. 45, hkl 5 3 1
2θ = 42.2°, rel. 38, hkl 7 1 1
2θ = 48.5°, rel. 38, hkl 2 4 0
2θ = 37.3°, rel. 33, hkl 1 3 1
2θ = 32.0°, rel. 33, hkl 4 0 2
2θ = 30.7°, rel. 27, hkl 3 1 2
2θ = 64.0°, rel. 25, hkl 9 3 1

***

Starting from a cell relaxed with PBE, the powder XRD pattern of Na3Hg5Au was simulated for Cu Kα.
Lines closer than 0.1° are merged.

Structural model:
abc: 8.0844 8.0844 4.0027
angles: 90.00 90.00 120.00
Space group P-62m (No. 189)
Inequivalent atoms, fractional coordinates:
Na1 0.0000 0.3844 0.0000
Hg1 0.0000 0.7340 0.5000
Hg2 0.3333 0.6667 0.5000
Au1 0.0000 0.0000 0.0000

Peak list (10 most intense, 2θ from 10° to 90°, in order of falling intensity)
2θ = 40.9°, rel. 100, hkl 2 1 1
2θ = 34.0°, rel. 77, hkl 2 0 1
2θ = 22.0°, rel. 73, hkl 1 1 0
2θ = 38.6°, rel. 67, hkl 3 0 0
2θ = 31.5°, rel. 60, hkl 1 1 1
2θ = 22.2°, rel. 50, hkl 0 0 1
2θ = 62.3°, rel. 43, hkl 3 2 1
2θ = 61.0°, rel. 36, hkl 3 0 2
2θ = 33.9°, rel. 34, hkl 2 1 0
2θ = 80.0°, rel. 25, hkl 5 1 1

***

Starting from a cell relaxed with PBE, the powder XRD pattern of Na3Hg6Au was simulated for Cu Kα.
Lines closer than 0.1° are merged.

Structural model:
abc: 11.7665 6.0437 9.0512
angles: 90.00 119.97 90.00
Space group C2/m (No. 12)
Inequivalent atoms, fractional coordinates:
Na1 0.0000 0.0000 0.0000
Na2 0.1529 0.0000 0.7042
Hg1 0.1158 0.2499 0.3345
Hg2 0.1971 0.5000 0.8829
Au1 0.0000 0.5000 0.5000

Peak list (10 most intense, 2θ from 10° to 90°, in order of falling intensity)
2θ = 33.4°, rel. 100, hkl 2 2 -1
2θ = 20.6°, rel. 59, hkl 2 0 -2
2θ = 25.2°, rel. 55, hkl 2 0 1
2θ = 35.2°, rel. 39, hkl 2 0 2
2θ = 45.9°, rel. 39, hkl 0 2 3
2θ = 11.3°, rel. 34, hkl 0 0 1
2θ = 17.9°, rel. 32, hkl 1 1 -1
2θ = 34.3°, rel. 31, hkl 1 1 -3
2θ = 46.6°, rel. 30, hkl 4 2 0
2θ = 30.9°, rel. 29, hkl 4 0 -2

***

Starting from a cell relaxed with PBE, the powder XRD pattern of Na7Hg2Au2 was simulated for Cu Kα.
Lines closer than 0.1° are merged.

Structural model:
abc: 8.1451 9.3899 7.9744
angles: 90.00 106.93 90.00
Space group C2/m (No. 12)
Inequivalent atoms, fractional coordinates:
Na1 0.0000 0.0000 0.0000
Na2 0.1832 0.0000 0.4538
Na3 0.2034 0.3009 0.1958
Hg1 0.1014 0.5000 0.8069
Au1 0.0000 0.2909 0.5000

Peak list (10 most intense, 2θ from 10° to 90°, in order of falling intensity)
2θ = 14.8°, rel. 100, hkl 1 1 0
2θ = 34.5°, rel. 98, hkl 2 2 1
2θ = 33.6°, rel. 60, hkl 2 2 -2
2θ = 22.4°, rel. 51, hkl 2 0 -1
2θ = 22.2°, rel. 51, hkl 0 2 1
2θ = 34.2°, rel. 43, hkl 1 3 1
2θ = 36.8°, rel. 40, hkl 1 3 -2
2θ = 30.2°, rel. 35, hkl 0 2 2
2θ = 11.6°, rel. 34, hkl 0 0 1
2θ = 35.3°, rel. 30, hkl 0 0 3